Record 1
Starting from a PBE+U-relaxed structure, the X-ray diffraction stick pattern of Li3V3CoO8 was simulated for Cu Ka.

Most intense lines, 2θ from 10° to 80°, low angle first:
Position (°2θ)	Rel. int.
18.15	100
35.63	11
36.08	24
42.99	23
43.57	46
47.38	11
57.22	9
62.47	12
63.28	13
64.02	6

Crystal structure
```
data_Li3V3CoO8
_cell_length_a 10.2188
_cell_length_b 5.8172
_cell_length_c 5.9359
_cell_angle_alpha 90.00
_cell_angle_beta 124.56
_cell_angle_gamma 90.00
_space_group_name_H-M_alt 'C 1 2/m 1'
_space_group_IT_number 12
loop_
_space_group_symop_operation_xyz
'x,y,z'
'-x,-y,-z'
'-x,y,-z'
'x,-y,z'
'x+1/2,y+1/2,z'
'-x+1/2,-y+1/2,-z'
'-x+1/2,y+1/2,-z'
'x+1/2,-y+1/2,z'
loop_
_atom_site_label
_atom_site_fract_x
_atom_site_fract_y
_atom_site_fract_z
Li1 0.0000 0.0000 0.0000
Li2 0.2500 0.2500 0.0000
V1 0.0000 0.5000 0.5000
V2 0.2500 0.2500 0.5000
Co1 0.0000 0.0000 0.5000
O1 0.0088 0.2454 0.2839
O2 0.2300 0.0000 0.7132
O3 0.2389 0.5000 0.7297
```

Record 2
Starting from a PBE+U-relaxed structure, the X-ray diffraction stick pattern of Li3V3CoO8 was simulated for Cu Ka.

Most intense lines, 2θ from 10° to 80°, low angle first:
Position (°2θ)	Rel. int.
18.17	100
35.66	12
35.98	12
36.23	12
43.07	24
43.51	23
43.68	23
47.34	7
62.44	6
63.06	6

Crystal structure
```
data_Li3V3CoO8
_cell_length_a 5.8124
_cell_length_b 5.8536
_cell_length_c 5.9287
_cell_angle_alpha 60.50
_cell_angle_beta 60.90
_cell_angle_gamma 60.73
_space_group_name_H-M_alt 'P -1'
_space_group_IT_number 2
loop_
_space_group_symop_operation_xyz
'x,y,z'
'-x,-y,-z'
loop_
_atom_site_label
_atom_site_fract_x
_atom_site_fract_y
_atom_site_fract_z
Li1 0.0000 0.0000 0.0000
Li2 0.0000 0.5000 0.0000
Li3 0.5000 0.0000 0.0000
V1 0.0000 0.5000 0.5000
V2 0.5000 0.0000 0.5000
V3 0.5000 0.5000 0.5000
Co1 0.0000 0.0000 0.5000
O1 0.2352 0.2356 0.2833
O2 0.2356 0.7542 0.2852
O3 0.2516 0.7800 0.7174
O4 0.2610 0.2495 0.7304
```